YP: calculated XRD peak list (Cu Kα (λ = 1.5418 Å)), based on a DFT-relaxed cell (PBE, the Materials Project).

Principal peaks in the range 2θ = 15–90°, sorted by position:
- 2θ = 27.19°, rel. 46, hkl 1 1 1
- 2θ = 31.50°, rel. 100, hkl 2 0 0
- 2θ = 45.15°, rel. 70, hkl 2 2 0
- 2θ = 53.51°, rel. 22, hkl 3 1 1
- 2θ = 56.09°, rel. 24, hkl 2 2 2
- 2θ = 65.77°, rel. 11, hkl 4 0 0
- 2θ = 72.55°, rel. 8, hkl 3 3 1
- 2θ = 74.75°, rel. 30, hkl 4 2 0
- 2θ = 83.36°, rel. 23, hkl 4 2 2
- 2θ = 89.70°, rel. 6, hkl 5 1 1

Structure:
Unit cell a=5.6797 b=5.6797 c=5.6797 alpha=90.00 beta=90.00 gamma=90.00
Space group Fm-3m (No. 225)
Symmetry-distinct sites (fractional):
1 Y 0.0000 0.0000 0.0000 x4
2 P 0.0000 0.0000 0.5000 x4